Starting from a structure optimized by DFT (PBE), the X-ray powder pattern of K3Nd3P4S16 was computed for Cu Ka.
Kinematic intensities with the Lorentz-polarization factor, no thermal factor.

Main lines, in order of falling intensity (2θ = 10–80°):
- d 8.127, 2θ 10.89, rel. 100
- d 5.941, 2θ 14.91, rel. 55
- d 7.517, 2θ 11.77, rel. 31
- d 3.574, 2θ 24.91, rel. 21
- d 4.580, 2θ 19.38, rel. 18
- d 3.722, 2θ 23.91, rel. 17
- d 2.364, 2θ 38.06, rel. 17
- d 2.402, 2θ 37.44, rel. 17
- d 2.709, 2θ 33.07, rel. 17
- d 2.976, 2θ 30.03, rel. 16

```
K3Nd3P4S16
1.0
8.190 -5.930 0.000
8.190 5.930 0.000
-0.213 0.000 15.034
K Nd P S
6 6 8 32
direct
0.000 0.000 0.000
0.000 0.000 0.500
0.029 0.392 0.338
0.392 0.029 0.838
0.608 0.971 0.162
0.971 0.608 0.662
0.251 0.749 0.250
0.252 0.487 0.988
0.487 0.252 0.488
0.513 0.748 0.512
0.748 0.513 0.012
0.749 0.251 0.750
0.037 0.332 0.860
0.235 0.603 0.476
0.332 0.037 0.360
0.397 0.765 0.024
0.603 0.235 0.976
0.668 0.963 0.640
0.765 0.397 0.524
0.963 0.668 0.140
0.041 0.145 0.806
0.053 0.319 0.997
0.075 0.705 0.393
0.145 0.041 0.306
0.156 0.526 0.171
0.193 0.400 0.813
0.209 0.424 0.524
0.255 0.728 0.580
0.272 0.745 0.920
0.295 0.925 0.107
0.319 0.053 0.497
0.400 0.193 0.313
0.414 0.546 0.398
0.424 0.209 0.024
0.454 0.586 0.102
0.474 0.844 0.329
0.526 0.156 0.671
0.546 0.414 0.898
0.576 0.791 0.976
0.586 0.454 0.602
0.600 0.807 0.687
0.681 0.947 0.503
0.705 0.075 0.893
0.728 0.255 0.080
0.745 0.272 0.420
0.791 0.576 0.476
0.807 0.600 0.187
0.844 0.474 0.829
0.855 0.959 0.694
0.925 0.295 0.607
0.947 0.681 0.003
0.959 0.855 0.194
```